The following is a computed PXRD pattern of Na2HgGe2Pd5. It was derived from a cell relaxed with PBE, using Cu Kα (λ = 1.5418 Å).
Lines closer than 0.1° are merged.

Most intense lines, 10 to 80 degrees two-theta, in order of rising 2θ:
Position (°2θ)  I_rel
17.92  30
20.06  32
35.60  26
37.92  100
40.77  26
41.19  31

Cell and atoms:
```
Na2HgGe2Pd5
1.0
9.899 0.000 0.000
0.000 9.899 0.000
0.000 0.000 3.638
Na Hg Ge Pd
4 2 4 10
direct
0.173 0.327 0.000 Na
0.327 0.827 0.000 Na
0.673 0.173 0.000 Na
0.827 0.673 0.000 Na
0.000 0.000 0.000 Hg
0.500 0.500 0.000 Hg
0.126 0.626 0.000 Ge
0.374 0.126 0.000 Ge
0.626 0.874 0.000 Ge
0.874 0.374 0.000 Ge
0.000 0.500 0.500 Pd
0.070 0.791 0.500 Pd
0.209 0.070 0.500 Pd
0.291 0.570 0.500 Pd
0.430 0.291 0.500 Pd
0.500 0.000 0.500 Pd
0.570 0.709 0.500 Pd
0.709 0.430 0.500 Pd
0.791 0.930 0.500 Pd
0.930 0.209 0.500 Pd
```